Structure and theoretical powder X-ray diffraction pattern of CeTh4O10 (the GGA-PBE geometry in Alexandria; Cu Kα X-rays).
Peak positions follow from Bragg's law for the DFT cell and can differ from measured ones.

Largest 12 diffraction maxima, by intensity, 2θ from 10° to 90°:
- 3.227 Å, I = 100
- 1.976 Å, I = 51
- 1.686 Å, I = 47
- 2.795 Å, I = 36
- 1.282 Å, I = 19
- 1.141 Å, I = 17
- 1.614 Å, I = 10
- 1.250 Å, I = 10
- 1.398 Å, I = 8
- 1.250 Å, I = 5
- 3.639 Å, I = 1
- 3.915 Å, I = 1

Atomic structure:
abc: 14.2478 14.2478 14.2478
angles: 164.05 164.05 22.63
Fractional coordinates of all 15 atoms:
1 Ce 0.0000 0.0000 0.0000
2 Th 0.1996 0.1996 0.0000
3 Th 0.4013 0.4013 0.0000
4 Th 0.5987 0.5987 0.0000
5 Th 0.8004 0.8004 0.0000
6 O 0.0487 0.5487 0.5000
7 O 0.1492 0.6492 0.5000
8 O 0.2500 0.7500 0.5000
9 O 0.3508 0.8508 0.5000
10 O 0.4513 0.9513 0.5000
11 O 0.5487 0.0487 0.5000
12 O 0.6492 0.1492 0.5000
13 O 0.7500 0.2500 0.5000
14 O 0.8508 0.3508 0.5000
15 O 0.9513 0.4513 0.5000